Entry 1:
Computed powder diffractogram
Compound: BaGeH6
Radiation: Cu Kα, 1.54184 Å
Structure: a PBE-relaxed structure
Neutral-atom scattering factors, no anomalous dispersion.

Most intense lines, 2θ = 10–80°, low angle first:
2θ/deg  I_rel
22.01  9
25.03  100
34.70  44
36.65  36
44.89  21
51.36  13
56.60  21
59.29  18
60.90  8
64.74  14

Structural model:
a b c (Å): 5.1861 5.1861 5.1861
angles (deg): 56.43 56.43 56.43
Fractional coordinates of all 8 atoms:
Ba: 0.0000 0.0000 0.0000
Ge: 0.5000 0.5000 0.5000
H: 0.0998 0.5893 0.5893
H: 0.4107 0.4107 0.9002
H: 0.4107 0.9002 0.4107
H: 0.5893 0.0998 0.5893
H: 0.5893 0.5893 0.0998
H: 0.9002 0.4107 0.4107


Entry 2:
Computed powder diffractogram
Compound: Sm5Ge3F
Radiation: Cu Kα, 1.54184 Å
Structure: a PBE-relaxed structure
Neutral-atom scattering factors, no anomalous dispersion.

Most intense lines, 2θ = 10–80°, low angle first:
2θ/deg  I_rel
25.85  22
30.10  17
31.65  100
31.84  14
34.16  37
35.72  48
51.28  17
55.66  16
64.98  12
66.44  13

Structural model:
a b c (Å): 8.9713 8.9713 8.9713
angles (deg): 127.41 127.41 77.59
Fractional coordinates of all 18 atoms:
Sm: 0.0000 0.0000 0.0000
Sm: 0.0233 0.5233 0.8295
Sm: 0.1938 0.0233 0.5000
Sm: 0.3062 0.8062 0.8295
Sm: 0.4767 0.3062 0.5000
Sm: 0.5000 0.5000 0.0000
Sm: 0.5233 0.6938 0.5000
Sm: 0.6938 0.1938 0.1705
Sm: 0.8062 0.9767 0.5000
Sm: 0.9767 0.4767 0.1705
Ge: 0.1344 0.3656 0.5000
Ge: 0.2500 0.2500 0.0000
Ge: 0.3656 0.8656 0.2311
Ge: 0.6344 0.1344 0.7689
Ge: 0.7500 0.7500 0.0000
Ge: 0.8656 0.6344 0.5000
F: 0.2500 0.7500 0.5000
F: 0.7500 0.2500 0.5000


Entry 3:
Computed powder diffractogram
Compound: CuAs2IrBr
Radiation: Cu Kα, 1.54184 Å
Structure: a PBE-relaxed structure
Neutral-atom scattering factors, no anomalous dispersion.

Most intense lines, 2θ = 10–80°, low angle first:
2θ/deg  I_rel
16.13  63
18.77  98
24.85  76
26.67  36
32.60  76
37.88  34
38.07  100
50.97  86
54.94  34
65.36  40

Structural model:
a b c (Å): 4.7272 4.7272 5.4942
angles (deg): 90.00 90.00 90.00
Fractional coordinates of all 5 atoms:
Cu: 0.0000 0.0000 0.0000
As: 0.0000 0.5000 0.5000
As: 0.5000 0.0000 0.5000
Ir: 0.5000 0.5000 0.5000
Br: 0.5000 0.5000 0.0000


Entry 4:
Computed powder diffractogram
Compound: CsZrReN4
Radiation: Cu Kα, 1.54184 Å
Structure: a PBE-relaxed structure
Neutral-atom scattering factors, no anomalous dispersion.

Most intense lines, 2θ = 10–80°, low angle first:
2θ/deg  I_rel
11.22  68
18.32  35
21.99  33
26.50  35
26.87  100
27.61  34
29.11  69
34.03  36
36.50  47
43.87  38

Structural model:
a b c (Å): 5.8448 6.1361 8.2676
angles (deg): 90.00 107.40 90.00
Fractional coordinates of all 14 atoms:
Cs: 0.2286 0.2500 0.4379
Cs: 0.7714 0.7500 0.5621
Zr: 0.3219 0.2500 0.9569
Zr: 0.6781 0.7500 0.0431
Re: 0.2088 0.7500 0.1261
Re: 0.7912 0.2500 0.8739
N: 0.0101 0.2500 0.0735
N: 0.0103 0.7500 0.2620
N: 0.4263 0.5220 0.1380
N: 0.4263 0.9780 0.1380
N: 0.5737 0.0220 0.8620
N: 0.5737 0.4780 0.8620
N: 0.9897 0.2500 0.7380
N: 0.9899 0.7500 0.9265


Entry 5:
Computed powder diffractogram
Compound: ZnIn6Hg8
Radiation: Cu Kα, 1.54184 Å
Structure: a PBE-relaxed structure
Neutral-atom scattering factors, no anomalous dispersion.

Most intense lines, 2θ = 10–80°, low angle first:
2θ/deg  I_rel
22.89  13
31.91  100
33.06  63
34.36  45
36.20  44
36.66  34
40.33  20
56.12  18
57.17  19
58.33  21

Structural model:
a b c (Å): 7.8543 7.8543 7.8543
angles (deg): 67.02 67.02 67.02
Fractional coordinates of all 15 atoms:
Zn: 0.0000 0.0000 0.0000
In: 0.0697 0.5652 0.2623
In: 0.2623 0.0697 0.5652
In: 0.4348 0.7377 0.9303
In: 0.5652 0.2623 0.0697
In: 0.7377 0.9303 0.4348
In: 0.9303 0.4348 0.7377
Hg: 0.1081 0.6768 0.7989
Hg: 0.2011 0.8919 0.3232
Hg: 0.3232 0.2011 0.8919
Hg: 0.4208 0.4208 0.4208
Hg: 0.5792 0.5792 0.5792
Hg: 0.6768 0.7989 0.1081
Hg: 0.7989 0.1081 0.6768
Hg: 0.8919 0.3232 0.2011


Entry 6:
Computed powder diffractogram
Compound: SrSmGa4
Radiation: Cu Kα, 1.54184 Å
Structure: a PBE-relaxed structure
Neutral-atom scattering factors, no anomalous dispersion.

Most intense lines, 2θ = 10–80°, low angle first:
2θ/deg  I_rel
27.10  29
31.55  100
36.08  57
41.80  44
46.74  28
50.53  10
56.38  31
60.60  14
64.49  21
69.94  20

Structural model:
a b c (Å): 8.2053 8.2053 8.2053
angles (deg): 149.46 149.46 43.73
Fractional coordinates of all 6 atoms:
Sr: 0.0000 0.0000 0.0000
Sm: 0.7500 0.2500 0.5000
Ga: 0.1693 0.6693 0.5000
Ga: 0.3307 0.8307 0.5000
Ga: 0.4147 0.4147 0.0000
Ga: 0.5853 0.5853 0.0000


Entry 7:
Computed powder diffractogram
Compound: Ho5Tm2Th2
Radiation: Cu Kα, 1.54184 Å
Structure: a PBE-relaxed structure
Neutral-atom scattering factors, no anomalous dispersion.

Most intense lines, 2θ = 10–80°, low angle first:
2θ/deg  I_rel
28.78  100
30.27  87
31.13  75
31.27  45
33.47  44
33.66  34
36.07  81
38.14  23
48.95  24
62.14  23

Structural model:
a b c (Å): 10.0004 10.0004 10.0004
angles (deg): 85.04 107.62 141.60
Fractional coordinates of all 18 atoms:
Ho: 0.2448 0.0535 0.2983
Ho: 0.2448 0.4465 0.6914
Ho: 0.4211 0.4422 0.4789
Ho: 0.4664 0.0497 0.1314
Ho: 0.4664 0.8350 0.9167
Ho: 0.7552 0.5535 0.3086
Ho: 0.7552 0.9465 0.7017
Ho: 0.9184 0.3350 0.8686
Ho: 0.9184 0.5497 0.0833
Ho: 0.9632 0.9422 0.5211
Tm: 0.3353 0.4632 0.1222
Tm: 0.3353 0.7130 0.3721
Tm: 0.3409 0.2130 0.8778
Tm: 0.3409 0.9632 0.6279
Th: 0.8064 0.3064 0.5000
Th: 0.8064 0.8064 0.0000
Th: 0.8659 0.6170 0.7489
Th: 0.8681 0.1170 0.2511


Entry 8:
Computed powder diffractogram
Compound: Cd3Ag2Au2
Radiation: Cu Kα, 1.54184 Å
Structure: a PBE-relaxed structure
Neutral-atom scattering factors, no anomalous dispersion.

Most intense lines, 2θ = 10–80°, low angle first:
2θ/deg  I_rel
31.86  17
36.34  100
36.99  40
37.88  38
41.02  23
42.54  13
42.94  12
47.82  11
75.51  10
76.45  13

Structural model:
a b c (Å): 4.7514 2.9263 10.2467
angles (deg): 90.00 102.31 90.00
Fractional coordinates of all 7 atoms:
Cd: 0.0000 0.0000 0.0000
Cd: 0.2868 0.0000 0.5807
Cd: 0.7132 0.0000 0.4193
Ag: 0.1482 0.0000 0.2755
Ag: 0.8518 0.0000 0.7245
Au: 0.4130 0.5000 0.8504
Au: 0.5870 0.5000 0.1496


Entry 9:
Computed powder diffractogram
Compound: Ac2Pr5Ho5
Radiation: Cu Kα, 1.54184 Å
Structure: a PBE-relaxed structure
Neutral-atom scattering factors, no anomalous dispersion.

Most intense lines, 2θ = 10–80°, low angle first:
2θ/deg  I_rel
29.73  100
34.31  34
34.75  17
49.64  24
58.59  15
58.70  15
59.20  7
59.24  7
61.66  6
61.81  6

Structural model:
a b c (Å): 8.2605 8.2605 11.6968
angles (deg): 115.31 115.31 36.43
Fractional coordinates of all 12 atoms:
Ac: 0.0827 0.0827 0.2519
Ac: 0.9173 0.9173 0.7481
Pr: 0.0000 0.0000 0.5000
Pr: 0.1669 0.1669 0.9999
Pr: 0.2453 0.2453 0.7464
Pr: 0.7547 0.7547 0.2536
Pr: 0.8331 0.8331 0.0001
Ho: 0.3338 0.3338 0.4976
Ho: 0.4149 0.4149 0.2509
Ho: 0.5000 0.5000 0.0000
Ho: 0.5851 0.5851 0.7491
Ho: 0.6662 0.6662 0.5024


Entry 10:
Computed powder diffractogram
Compound: Dy5TmPb4
Radiation: Cu Kα, 1.54184 Å
Structure: a PBE-relaxed structure
Neutral-atom scattering factors, no anomalous dispersion.

Most intense lines, 2θ = 10–80°, low angle first:
2θ/deg  I_rel
30.14  17
30.50  49
30.96  100
33.78  19
34.89  19
36.91  41
40.56  25
47.28  23
50.04  17
59.19  15

Structural model:
a b c (Å): 8.9821 8.9821 9.7437
angles (deg): 91.84 91.84 23.42
Fractional coordinates of all 10 atoms:
Dy: 0.0000 0.0000 0.0000
Dy: 0.3095 0.3095 0.1110
Dy: 0.3448 0.3448 0.7420
Dy: 0.6552 0.6552 0.2580
Dy: 0.6905 0.6905 0.8890
Tm: 0.0000 0.0000 0.5000
Pb: 0.1812 0.1812 0.5685
Pb: 0.4745 0.4745 0.2515
Pb: 0.5255 0.5255 0.7485
Pb: 0.8188 0.8188 0.4315


Entry 11:
Computed powder diffractogram
Compound: Nd3Te3N
Radiation: Cu Kα, 1.54184 Å
Structure: a PBE-relaxed structure
Neutral-atom scattering factors, no anomalous dispersion.

Most intense lines, 2θ = 10–80°, low angle first:
2θ/deg  I_rel
24.34  30
24.98  51
28.56  30
28.72  73
29.01  72
31.02  100
32.03  22
34.62  34
35.15  96
42.02  58

Structural model:
a b c (Å): 13.9064 4.2998 14.2623
angles (deg): 90.00 90.00 90.00
Fractional coordinates of all 28 atoms:
Nd: 0.0375 0.2500 0.1583
Nd: 0.0569 0.2500 0.6364
Nd: 0.1942 0.2500 0.8544
Nd: 0.3058 0.7500 0.3544
Nd: 0.4431 0.7500 0.1364
Nd: 0.4625 0.7500 0.6583
Nd: 0.5375 0.2500 0.3417
Nd: 0.5569 0.2500 0.8636
Nd: 0.6942 0.2500 0.6456
Nd: 0.8058 0.7500 0.1456
Nd: 0.9431 0.7500 0.3636
Nd: 0.9625 0.7500 0.8417
Te: 0.1047 0.2500 0.3932
Te: 0.1261 0.7500 0.9993
Te: 0.2220 0.7500 0.6814
Te: 0.2780 0.2500 0.1814
Te: 0.3739 0.2500 0.4993
Te: 0.3953 0.7500 0.8932
Te: 0.6047 0.2500 0.1068
Te: 0.6261 0.7500 0.5007
Te: 0.7220 0.7500 0.8186
Te: 0.7780 0.2500 0.3186
Te: 0.8739 0.2500 0.0007
Te: 0.8953 0.7500 0.6068
N: 0.0379 0.2500 0.7946
N: 0.4621 0.7500 0.2946
N: 0.5379 0.2500 0.7054
N: 0.9621 0.7500 0.2054


Entry 12:
Computed powder diffractogram
Compound: Mn2Cd9N8
Radiation: Cu Kα, 1.54184 Å
Structure: a PBE-relaxed structure
Neutral-atom scattering factors, no anomalous dispersion.

Most intense lines, 2θ = 10–80°, low angle first:
2θ/deg  I_rel
22.73  17
24.90  14
29.29  42
30.69  100
30.92  50
32.62  20
34.31  23
36.31  31
36.96  21
44.98  31

Structural model:
a b c (Å): 11.0611 11.0611 8.3355
angles (deg): 105.71 105.71 21.00
Fractional coordinates of all 19 atoms:
Mn: 0.1891 0.1891 0.2074
Mn: 0.8109 0.8109 0.7926
Cd: 0.0568 0.0568 0.2526
Cd: 0.2011 0.2011 0.8617
Cd: 0.3140 0.3140 0.4948
Cd: 0.4213 0.4213 0.0601
Cd: 0.5000 0.5000 0.5000
Cd: 0.5787 0.5787 0.9399
Cd: 0.6860 0.6860 0.5052
Cd: 0.7989 0.7989 0.1383
Cd: 0.9432 0.9432 0.7474
N: 0.1261 0.1261 0.0141
N: 0.1673 0.1673 0.3992
N: 0.2729 0.2729 0.2085
N: 0.4861 0.4861 0.7423
N: 0.5139 0.5139 0.2577
N: 0.7271 0.7271 0.7915
N: 0.8327 0.8327 0.6008
N: 0.8739 0.8739 0.9859